[1]
The following is a theoretical XRD peak list of YCdInS4. It was derived from the PBE geometry in Alexandria, using Cu Kα, 1.54184 Å.
Kinematic intensities with the Lorentz-polarization factor, no thermal factor.

Largest 12 diffraction maxima, in order of falling intensity, 2θ from 10° to 90°:
d_spacing, I (rel.)
3.365, 100
1.978, 82
3.381, 52
2.148, 43
3.955, 42
2.789, 23
2.160, 19
1.968, 16
1.454, 15
2.807, 12
6.461, 11
1.138, 10

Structural model:
a = 7.9129 Å, b = 7.9129 Å, c = 7.9129 Å
α = 120.35°, β = 120.08°, γ = 89.63°
Element x y z (fractional)
Y 0.0000 0.0000 0.0000
Y 0.5000 0.0000 0.5000
Cd 0.3737 0.6237 0.7500
Cd 0.6263 0.3763 0.2500
In 0.0000 0.0000 0.5000
In 0.0000 0.5000 0.0000
S 0.2235 0.2457 0.9778
S 0.2322 0.7543 0.4778
S 0.2393 0.2270 0.4877
S 0.2393 0.7516 0.0123
S 0.7607 0.2484 0.9877
S 0.7607 0.7730 0.5123
S 0.7678 0.2457 0.5222
S 0.7765 0.7543 0.0222

[2]
The following is a theoretical XRD peak list of Tb6NdSm3. It was derived from the PBE geometry in Alexandria, using Cu Kα, 1.54184 Å.
Kinematic intensities with the Lorentz-polarization factor, no thermal factor.

Largest 12 diffraction maxima, in order of falling intensity, 2θ from 10° to 90°:
d_spacing, I (rel.)
2.840, 100
3.134, 61
2.635, 35
2.651, 22
2.999, 19
2.742, 17
3.187, 13
1.818, 13
1.587, 11
1.565, 10
1.545, 10
1.835, 10

Structural model:
a = 11.0119 Å, b = 11.0119 Å, c = 6.3168 Å
α = 90.00°, β = 90.00°, γ = 119.76°
Element x y z (fractional)
Tb 0.0410 0.9590 0.5000
Tb 0.0483 0.4676 0.9877
Tb 0.2766 0.7234 0.2608
Tb 0.2890 0.3790 0.1590
Tb 0.3790 0.2890 0.6590
Tb 0.4676 0.0483 0.4877
Tb 0.5324 0.9517 0.9877
Tb 0.6210 0.7110 0.1590
Tb 0.7110 0.6210 0.6590
Tb 0.7234 0.2766 0.7608
Tb 0.9517 0.5324 0.4877
Tb 0.9590 0.0410 0.0000
Nd 0.1983 0.8017 0.7462
Nd 0.8017 0.1983 0.2462
Sm 0.0621 0.2873 0.5772
Sm 0.2873 0.0621 0.0772
Sm 0.3881 0.6119 0.6877
Sm 0.6119 0.3881 0.1877
Sm 0.7127 0.9379 0.5772
Sm 0.9379 0.7127 0.0772